[1]
This entry pairs a crystal structure of V3F with its calculated X-ray powder pattern. Radiation: a wavelength of 1.5418 Å. Structure: a cell relaxed with PBE+U.
Neutral-atom scattering factors, no anomalous dispersion.

Main lines, in order of rising 2θ (5 to 70 degrees two-theta):
two_theta  d [Å]  Rel. int.  index
17.36  5.107  7  0 0 2
25.76  3.459  10  1 0 1
34.50  2.599  2  1 1 0
35.14  2.554  34  0 0 4
35.95  2.498  4  1 0 3
38.88  2.317  100  1 1 2
49.60  1.838  23  2 0 0
50.07  1.822  2  1 1 4
56.72  1.623  2  2 1 1
62.23  1.492  21  2 0 4
62.76  1.480  2  2 1 3
65.55  1.424  18  1 1 6

Cell and atoms:
```
data_V3F
_chemical_formula_sum 'V6 F2'
_cell_length_a 3.676
_cell_length_b 3.676
_cell_length_c 10.215
_cell_angle_alpha 90.00
_cell_angle_beta 90.00
_cell_angle_gamma 90.00
_space_group_name_H-M_alt 'P 1'
_space_group_IT_number 1
loop_
_space_group_symop_operation_xyz
'x,y,z'
loop_
_atom_site_label
_atom_site_fract_x
_atom_site_fract_y
_atom_site_fract_z
V1 0.000 0.000 0.000
V2 0.000 0.500 0.250
V3 0.000 0.500 0.750
V4 0.500 0.000 0.250
V5 0.500 0.000 0.750
V6 0.500 0.500 0.500
F1 0.000 0.000 0.500
F2 0.500 0.500 0.000
```

[2]
This entry pairs a crystal structure of Mn7Fe3O20 with its calculated X-ray powder pattern. Radiation: a wavelength of 1.5418 Å. Structure: a cell relaxed with PBE+U.
Neutral-atom scattering factors, no anomalous dispersion.

Main lines, in order of rising 2θ (5 to 70 degrees two-theta):
two_theta  d [Å]  Rel. int.  index
17.56  5.049  98  1 1 0
18.37  4.830  90  0 0 5
18.58  4.776  85  1 0 -2
21.96  4.048  58  0 1 -3
29.28  3.051  16  0 1 7
30.63  2.919  16  1 2 2
32.44  2.760  14  -1 1 4
36.56  2.458  100  0 2 4
43.57  2.077  57  2 0 6
50.49  1.808  33  2 2 10
54.32  1.689  27  2 2 -10
63.20  1.471  15  2 0 -14

Cell and atoms:
```
data_Mn7Fe3O20
_chemical_formula_sum 'Mn14 Fe6 O40'
_cell_length_a 5.825
_cell_length_b 5.884
_cell_length_c 24.377
_cell_angle_alpha 83.22
_cell_angle_beta 89.98
_cell_angle_gamma 60.35
_space_group_name_H-M_alt 'P 1'
_space_group_IT_number 1
loop_
_space_group_symop_operation_xyz
'x,y,z'
loop_
_atom_site_label
_atom_site_fract_x
_atom_site_fract_y
_atom_site_fract_z
Mn1 0.000 0.000 0.000
Mn2 0.000 0.500 0.000
Mn3 0.001 0.002 0.500
Mn4 0.103 0.900 0.800
Mn5 0.202 0.300 0.600
Mn6 0.303 0.703 0.400
Mn7 0.402 0.599 0.700
Mn8 0.405 0.097 0.200
Mn9 0.406 0.596 0.200
Mn10 0.501 0.500 0.000
Mn11 0.603 0.899 0.800
Mn12 0.703 0.300 0.600
Mn13 0.804 0.701 0.400
Mn14 0.905 0.096 0.200
Fe1 0.203 0.799 0.100
Fe2 0.203 0.800 0.600
Fe3 0.602 0.400 0.800
Fe4 0.605 0.398 0.300
Fe5 0.801 0.200 0.900
Fe6 0.802 0.202 0.400
O1 0.047 0.194 0.641
O2 0.075 0.166 0.155
O3 0.075 0.722 0.154
O4 0.093 0.670 0.648
O5 0.114 0.126 0.955
O6 0.131 0.641 0.447
O7 0.136 0.074 0.448
O8 0.153 0.613 0.959
O9 0.252 0.983 0.240
O10 0.268 0.529 0.753
O11 0.275 0.961 0.753
O12 0.292 0.470 0.245
O13 0.312 0.931 0.552
O14 0.330 0.432 0.045
O15 0.331 0.875 0.045
O16 0.360 0.405 0.559
O17 0.446 0.796 0.841
O18 0.465 0.331 0.354
O19 0.475 0.769 0.354
O20 0.486 0.271 0.846
O21 0.518 0.723 0.154
O22 0.530 0.237 0.647
O23 0.538 0.670 0.648
O24 0.558 0.209 0.159
O25 0.646 0.599 0.441
O26 0.669 0.126 0.955
O27 0.671 0.570 0.955
O28 0.692 0.072 0.447
O29 0.713 0.528 0.752
O30 0.735 0.026 0.245
O31 0.737 0.470 0.245
O32 0.760 0.004 0.759
O33 0.847 0.387 0.041
O34 0.867 0.930 0.552
O35 0.874 0.363 0.553
O36 0.887 0.874 0.045
O37 0.920 0.329 0.354
O38 0.932 0.831 0.846
O39 0.939 0.272 0.846
O40 0.960 0.806 0.359
```